(1)
Computed X-ray diffraction stick pattern of Al2CuTe4Pb for Cu Kα (λ = 1.5418 Å), from a structure optimized by DFT (PBE).

Crystal structure
Lattice parameters (Å, degrees): 7.7723 7.2729 6.7031 67.43 59.78 52.79
Fractional coordinates of all 8 atoms:
1 Al 0.0000 0.0000 0.5000
2 Al 0.5000 0.5000 0.0000
3 Cu 0.2375 0.2375 0.7625
4 Te 0.1524 0.5724 0.4276
5 Te 0.3222 0.8655 0.6778
6 Te 0.5724 0.1524 0.8476
7 Te 0.8655 0.3222 0.1345
8 Pb 0.7640 0.7640 0.2360

Top 8 peaks for 5 to 70 degrees two-theta, most intense first:
| 2theta | I/Imax |
| --- | --- |
| 25.62 | 1000 |
| 41.23 | 639 |
| 23.09 | 621 |
| 43.91 | 349 |
| 41.75 | 316 |
| 29.14 | 275 |
| 35.05 | 248 |
| 31.09 | 204 |


(2)
Computed X-ray diffraction stick pattern of Cs2TlAg3Cl6 for Cu Kα (λ = 1.5418 Å), from a structure optimized by DFT (PBE).

Crystal structure
Lattice parameters (Å, degrees): 5.2825 5.2825 15.6311 90.00 90.00 90.00
Fractional coordinates of all 12 atoms:
1 Cs 0.0000 0.0000 0.2178
2 Cs 0.0000 0.0000 0.7822
3 Tl 0.0000 0.0000 0.5000
4 Ag 0.5000 0.5000 0.0000
5 Ag 0.5000 0.5000 0.3608
6 Ag 0.5000 0.5000 0.6392
7 Cl 0.0000 0.5000 0.3658
8 Cl 0.0000 0.5000 0.6342
9 Cl 0.5000 0.0000 0.3658
10 Cl 0.5000 0.0000 0.6342
11 Cl 0.5000 0.5000 0.1497
12 Cl 0.5000 0.5000 0.8503

Top 8 peaks for 5 to 70 degrees two-theta, most intense first:
| 2theta | I/Imax |
| --- | --- |
| 23.99 | 1000 |
| 5.65 | 939 |
| 23.82 | 777 |
| 33.94 | 615 |
| 28.41 | 553 |
| 41.99 | 461 |
| 44.84 | 349 |
| 55.00 | 261 |


What is the formula in the first record? Al2CuTe4Pb